Starting from DFT lattice parameters and positions (PBE), the X-ray powder pattern of OsClF8 was computed for CuKα.
Peak positions follow from Bragg's law for the DFT cell and can differ from measured ones.

Crystal structure
```
10
Lattice="5.2071 0.0000 0.0000 -0.2002 5.5793 0.0000 -0.1052 -0.1177 6.3198" Properties=species:S:1:pos:R:3 pbc="T T T"
Os 0.0000 0.0000 0.0000
Cl 2.4177 2.6334 3.1637
F 0.8592 1.8598 3.2232
F 0.9722 1.6001 0.0522
F 0.9138 4.8676 1.3278
F 0.8595 4.8070 5.0063
F 3.6527 3.8519 3.0970
F 4.0408 0.6586 1.3071
F 3.9853 0.5967 4.9986
F 3.9365 3.8580 6.2676
```

Peak list (8 most intense, 2θ from 10° to 90°, in order of rising 2θ)
two_theta	d/Å	I/Imax	index
14.01	6.320	100	0 0 1
15.89	5.578	87	0 1 0
17.04	5.203	79	1 0 0
21.05	4.221	87	0 1 -1
21.44	4.144	84	0 1 1
21.94	4.051	71	1 0 -1
22.95	3.875	71	1 -1 0
36.70	2.449	73	1 -1 2